Entry 1:
Diffraction record for LaMgI5. The X-ray powder pattern is calculated, not measured: it uses a DFT-relaxed cell (PBE, the Materials Project) and λ = 1.5418 Å (Cu Kα).

Largest 6 diffraction maxima, sorted by position, 10° ≤ 2θ ≤ 80°:
26.2°, 3.402 Å, I = 64, (1 1 3); 27.5°, 3.243 Å, I = 61, (1 3 1); 28.1°, 3.173 Å, I = 100, (0 2 5); 28.9°, 3.087 Å, I = 76, (1 3 2); 37.6°, 2.392 Å, I = 63, (1 1 6); 41.4°, 2.183 Å, I = 58, (2 0 0)

Atomic structure:
Unit cell a=4.3614 b=15.1394 c=17.4763 alpha=90.00 beta=90.00 gamma=90.00
Space group Cmcm (No. 63)
Inequivalent atoms, fractional coordinates:
La 0.0000 0.0154 0.2500 (multiplicity 4)
Mg 0.0000 0.5000 0.0000 (multiplicity 4)
I 0.0000 0.1085 0.0657 (multiplicity 8)
I 0.0000 0.3329 0.7500 (multiplicity 4)
I 0.0000 0.4001 0.1441 (multiplicity 8)

Entry 2:
Diffraction record for Hg2Rh. The X-ray powder pattern is calculated, not measured: it uses a DFT-relaxed cell (PBE, the Materials Project) and λ = 1.5418 Å (Cu Kα).

Largest 6 diffraction maxima, sorted by position, 10° ≤ 2θ ≤ 80°:
27.0°, 3.299 Å, I = 47, (1 1 0); 29.1°, 3.069 Å, I = 20, (0 0 1); 38.6°, 2.333 Å, I = 56, (2 0 0); 40.1°, 2.247 Å, I = 100, (1 1 1); 49.1°, 1.857 Å, I = 20, (2 0 1); 70.9°, 1.330 Å, I = 38, (3 1 1)

Atomic structure:
Unit cell a=4.6653 b=4.6653 c=3.0691 alpha=90.00 beta=90.00 gamma=90.00
Space group P4/mmm (No. 123)
Inequivalent atoms, fractional coordinates:
Hg 0.0000 0.5000 0.0000 (multiplicity 2)
Rh 0.0000 0.0000 0.5000 (multiplicity 1)

Entry 3:
Diffraction record for CeTlZn. The X-ray powder pattern is calculated, not measured: it uses a DFT-relaxed cell (PBE, the Materials Project) and λ = 1.5418 Å (Cu Kα).

Largest 6 diffraction maxima, sorted by position, 10° ≤ 2θ ≤ 80°:
24.4°, 3.649 Å, I = 32, (1 0 1); 32.1°, 2.785 Å, I = 100, (1 0 2); 37.2°, 2.414 Å, I = 75, (1 1 0); 50.0°, 1.824 Å, I = 29, (2 0 2); 62.9°, 1.477 Å, I = 32, (1 1 4); 64.0°, 1.456 Å, I = 28, (2 1 2)

Atomic structure:
Unit cell a=4.8286 b=4.8286 c=7.4683 alpha=90.00 beta=90.00 gamma=120.00
Space group P6_3/mmc (No. 194)
Inequivalent atoms, fractional coordinates:
Ce 0.0000 0.0000 0.0000 (multiplicity 2)
Tl 0.3333 0.6667 0.2500 (multiplicity 2)
Zn 0.3333 0.6667 0.7500 (multiplicity 2)

Entry 4:
Diffraction record for Cs2RbSmCl6. The X-ray powder pattern is calculated, not measured: it uses a DFT-relaxed cell (PBE, the Materials Project) and λ = 1.5418 Å (Cu Kα).

Largest 6 diffraction maxima, sorted by position, 10° ≤ 2θ ≤ 80°:
21.5°, 4.134 Å, I = 100, (2 2 0); 30.6°, 2.923 Å, I = 57, (4 0 0); 37.7°, 2.387 Å, I = 46, (4 2 2); 43.8°, 2.067 Å, I = 40, (4 4 0); 49.3°, 1.849 Å, I = 24, (6 2 0); 59.1°, 1.562 Å, I = 27, (6 4 2)

Atomic structure:
Unit cell a=11.6916 b=11.6916 c=11.6916 alpha=90.00 beta=90.00 gamma=90.00
Space group Fm-3m (No. 225)
Inequivalent atoms, fractional coordinates:
Cs 0.2500 0.2500 0.2500 (multiplicity 8)
Rb 0.0000 0.0000 0.0000 (multiplicity 4)
Sm 0.0000 0.0000 0.5000 (multiplicity 4)
Cl 0.0000 0.0000 0.2690 (multiplicity 24)

Entry 5:
Diffraction record for EuIn3. The X-ray powder pattern is calculated, not measured: it uses a DFT-relaxed cell (PBE, the Materials Project) and λ = 1.5418 Å (Cu Kα).

Largest 6 diffraction maxima, sorted by position, 10° ≤ 2θ ≤ 80°:
30.1°, 2.966 Å, I = 24, (2 0 0); 33.7°, 2.660 Å, I = 24, (0 0 2); 34.6°, 2.590 Å, I = 100, (2 0 1); 53.5°, 1.712 Å, I = 19, (2 2 0); 60.9°, 1.522 Å, I = 19, (2 0 3); 64.7°, 1.440 Å, I = 20, (2 2 2)

Atomic structure:
Unit cell a=6.8494 b=6.8494 c=5.3197 alpha=90.00 beta=90.00 gamma=120.00
Space group P6_3/mmc (No. 194)
Inequivalent atoms, fractional coordinates:
Eu 0.3333 0.6667 0.2500 (multiplicity 2)
In 0.1573 0.3146 0.7500 (multiplicity 6)